No. 1
Structure and simulated X-ray powder pattern of Co4Re9 (the GGA-PBE geometry in OQMD; Cu Kα, 1.54184 Å).
Neutral-atom scattering factors, no anomalous dispersion.

Principal peaks in the range 5 to 70 degrees two-theta, by intensity:
d = 2.185 Å, 2θ = 41.32°, I 100, (0 0 12); d = 2.177 Å, 2θ = 41.47°, I 85, (0 2 1); d = 4.370 Å, 2θ = 20.32°, I 76, (0 0 6); d = 2.017 Å, 2θ = 44.94°, I 75, (2 0 5); d = 1.887 Å, 2θ = 48.22°, I 65, (0 2 7); d = 2.092 Å, 2θ = 43.24°, I 54, (0 1 11); d = 2.155 Å, 2θ = 41.92°, I 53, (2 0 2); d = 3.636 Å, 2θ = 24.48°, I 42, (1 0 4); d = 1.907 Å, 2θ = 47.69°, I 29, (1 1 9); d = 2.248 Å, 2θ = 40.11°, I 28, (1 0 10); d = 1.358 Å, 2θ = 69.20°, I 28, (1 2 11); d = 2.523 Å, 2θ = 35.58°, I 20, (1 1 0)

Structure:
```
data_Co4Re9
_chemical_formula_sum 'Co12 Re27'
_symmetry_space_group_name_H-M 'R -3 m'
_symmetry_Int_Tables_number 166
_symmetry_space_group_name_Hall '-R 3 2"'
_cell_length_a 5.0459
_cell_length_b 5.0459
_cell_length_c 26.2178
_cell_angle_alpha 90.00
_cell_angle_beta 90.00
_cell_angle_gamma 120.00
loop_
_atom_site_label
_atom_site_type_symbol
_atom_site_fract_x
_atom_site_fract_y
_atom_site_fract_z
Co1 Co 0.0000 0.0000 0.1584
Co2 Co 0.0000 0.0000 0.3351
Re1 Re 0.0000 0.0000 0.0471
Re2 Re 0.0000 0.0000 0.5000
Re3 Re 0.0050 0.5025 0.9137
```

No. 2
Structure and simulated X-ray powder pattern of Co16Re13 (the GGA-PBE geometry in OQMD; Cu Kα, 1.54184 Å).
Neutral-atom scattering factors, no anomalous dispersion.

Principal peaks in the range 5 to 70 degrees two-theta, by intensity:
d = 2.114 Å, 2θ = 42.78°, I 100, (3 3 0); d = 1.912 Å, 2θ = 47.56°, I 16, (3 3 2); d = 3.661 Å, 2θ = 24.31°, I 16, (2 1 1); d = 1.759 Å, 2θ = 52.00°, I 15, (4 3 1); d = 2.589 Å, 2θ = 34.65°, I 11, (2 2 2); d = 6.341 Å, 2θ = 13.97°, I 10, (1 1 0); d = 2.242 Å, 2θ = 40.22°, I 10, (4 0 0); d = 2.397 Å, 2θ = 37.53°, I 9, (3 2 1); d = 1.831 Å, 2θ = 49.81°, I 8, (4 2 2); d = 1.455 Å, 2θ = 64.00°, I 5, (6 1 1); d = 1.495 Å, 2θ = 62.10°, I 5, (4 4 2); d = 1.637 Å, 2θ = 56.18°, I 5, (5 2 1)

Structure:
```
data_Co16Re13
_chemical_formula_sum 'Co32 Re26'
_symmetry_space_group_name_H-M 'I -4 3 m'
_symmetry_Int_Tables_number 217
_symmetry_space_group_name_Hall 'I -4 2 3'
_cell_length_a 8.9678
_cell_length_b 8.9678
_cell_length_c 8.9678
_cell_angle_alpha 90.00
_cell_angle_beta 90.00
_cell_angle_gamma 90.00
loop_
_atom_site_label
_atom_site_type_symbol
_atom_site_fract_x
_atom_site_fract_y
_atom_site_fract_z
Co1 Co 0.0909 0.0909 0.7211
Co2 Co 0.1673 0.1673 0.1673
Re1 Re 0.0000 0.0000 0.0000
Re2 Re 0.0510 0.3564 0.6436
```

No. 3
Structure and simulated X-ray powder pattern of Co7Re8 (the GGA-PBE geometry in OQMD; Cu Kα, 1.54184 Å).
Neutral-atom scattering factors, no anomalous dispersion.

Principal peaks in the range 5 to 70 degrees two-theta, by intensity:
d = 2.017 Å, 2θ = 44.95°, I 100, (4 1 1); d = 2.233 Å, 2θ = 40.39°, I 56, (4 1 0); d = 1.970 Å, 2θ = 46.07°, I 50, (3 3 1); d = 2.348 Å, 2θ = 38.33°, I 41, (0 0 2); d = 6.510 Å, 2θ = 13.60°, I 40, (1 1 0); d = 2.040 Å, 2θ = 44.41°, I 30, (2 1 2); d = 2.170 Å, 2θ = 41.62°, I 24, (3 3 0); d = 3.255 Å, 2θ = 27.40°, I 19, (2 2 0); d = 1.904 Å, 2θ = 47.76°, I 19, (2 2 2); d = 2.569 Å, 2θ = 34.92°, I 15, (3 0 1); d = 2.243 Å, 2θ = 40.20°, I 12, (3 2 1); d = 2.092 Å, 2θ = 43.25°, I 12, (2 0 2)

Structure:
```
data_Co7Re8
_chemical_formula_sum 'Co14 Re16'
_symmetry_space_group_name_H-M 'P 42/m n m'
_symmetry_Int_Tables_number 136
_symmetry_space_group_name_Hall '-P 4n 2n'
_cell_length_a 9.2071
_cell_length_b 9.2071
_cell_length_c 4.6964
_cell_angle_alpha 90.00
_cell_angle_beta 90.00
_cell_angle_gamma 90.00
loop_
_atom_site_label
_atom_site_type_symbol
_atom_site_fract_x
_atom_site_fract_y
_atom_site_fract_z
Co1 Co 0.0000 0.0000 0.0000
Co2 Co 0.0893 0.0893 0.5000
Co3 Co 0.1805 0.8195 0.2505
Re1 Re 0.0317 0.3614 0.5000
Re2 Re 0.0628 0.2547 0.0000
```

No. 4
Structure and simulated X-ray powder pattern of Co13Re16 (the GGA-PBE geometry in OQMD; Cu Kα, 1.54184 Å).
Neutral-atom scattering factors, no anomalous dispersion.

Principal peaks in the range 5 to 70 degrees two-theta, by intensity:
d = 2.144 Å, 2θ = 42.14°, I 100, (3 3 0); d = 3.714 Å, 2θ = 23.96°, I 11, (2 1 1); d = 6.433 Å, 2θ = 13.77°, I 11, (1 1 0); d = 1.940 Å, 2θ = 46.84°, I 10, (3 3 2); d = 1.857 Å, 2θ = 49.06°, I 8, (4 2 2); d = 1.516 Å, 2θ = 61.12°, I 8, (4 4 2); d = 1.784 Å, 2θ = 51.20°, I 8, (4 3 1); d = 2.274 Å, 2θ = 39.63°, I 6, (4 0 0); d = 1.476 Å, 2θ = 62.99°, I 4, (6 1 1); d = 2.626 Å, 2θ = 34.14°, I 3, (2 2 2); d = 1.404 Å, 2θ = 66.62°, I 3, (5 4 1); d = 2.877 Å, 2θ = 31.09°, I 3, (3 1 0)

Structure:
```
data_Co13Re16
_chemical_formula_sum 'Co26 Re32'
_symmetry_space_group_name_H-M 'I -4 3 m'
_symmetry_Int_Tables_number 217
_symmetry_space_group_name_Hall 'I -4 2 3'
_cell_length_a 9.0972
_cell_length_b 9.0972
_cell_length_c 9.0972
_cell_angle_alpha 90.00
_cell_angle_beta 90.00
_cell_angle_gamma 90.00
loop_
_atom_site_label
_atom_site_type_symbol
_atom_site_fract_x
_atom_site_fract_y
_atom_site_fract_z
Co1 Co 0.0000 0.0000 0.0000
Co2 Co 0.0883 0.0883 0.7266
Re1 Re 0.0411 0.3574 0.6426
Re2 Re 0.1811 0.1811 0.1811
```

No. 5
Structure and simulated X-ray powder pattern of CoRe14 (the GGA-PBE geometry in OQMD; Cu Kα, 1.54184 Å).
Neutral-atom scattering factors, no anomalous dispersion.

Principal peaks in the range 5 to 70 degrees two-theta, by intensity:
d = 2.292 Å, 2θ = 39.30°, I 100, (4 1 0); d = 2.080 Å, 2θ = 43.52°, I 87, (4 1 1); d = 2.134 Å, 2θ = 42.35°, I 78, (2 1 2); d = 2.031 Å, 2θ = 44.61°, I 58, (3 3 1); d = 2.228 Å, 2θ = 40.49°, I 36, (3 3 0); d = 2.191 Å, 2θ = 41.20°, I 30, (2 0 2); d = 2.473 Å, 2θ = 36.33°, I 20, (0 0 2); d = 1.988 Å, 2θ = 45.64°, I 19, (2 2 2); d = 1.356 Å, 2θ = 69.32°, I 16, (5 3 2); d = 1.905 Å, 2θ = 47.74°, I 12, (3 1 2); d = 2.317 Å, 2θ = 38.86°, I 11, (1 1 2); d = 1.431 Å, 2θ = 65.19°, I 7, (5 2 2)

Structure:
```
data_CoRe14
_chemical_formula_sum 'Co2 Re28'
_symmetry_space_group_name_H-M 'P 42/m n m'
_symmetry_Int_Tables_number 136
_symmetry_space_group_name_Hall '-P 4n 2n'
_cell_length_a 9.4514
_cell_length_b 9.4514
_cell_length_c 4.9453
_cell_angle_alpha 90.00
_cell_angle_beta 90.00
_cell_angle_gamma 90.00
loop_
_atom_site_label
_atom_site_type_symbol
_atom_site_fract_x
_atom_site_fract_y
_atom_site_fract_z
Co1 Co 0.0000 0.0000 0.0000
Re1 Re 0.0377 0.3647 0.5000
Re2 Re 0.0647 0.2571 0.0000
Re3 Re 0.0927 0.0927 0.5000
Re4 Re 0.1793 0.8207 0.2493
```

No. 6
Structure and simulated X-ray powder pattern of Co12Re (the GGA-PBE geometry in OQMD; Cu Kα, 1.54184 Å).
Neutral-atom scattering factors, no anomalous dispersion.

Principal peaks in the range 5 to 70 degrees two-theta, by intensity:
d = 1.995 Å, 2θ = 45.47°, I 100, (1 1 6); d = 1.949 Å, 2θ = 46.59°, I 73, (0 1 11); d = 2.282 Å, 2θ = 39.49°, I 54, (1 1 0); d = 1.834 Å, 2θ = 49.71°, I 44, (2 0 5); d = 3.903 Å, 2θ = 22.79°, I 29, (1 0 1); d = 1.723 Å, 2θ = 53.15°, I 29, (0 2 7); d = 8.211 Å, 2θ = 10.77°, I 26, (0 0 3); d = 2.053 Å, 2θ = 44.12°, I 24, (0 0 12); d = 1.753 Å, 2θ = 52.19°, I 17, (1 1 9); d = 3.764 Å, 2θ = 23.64°, I 16, (0 1 2); d = 3.326 Å, 2θ = 26.80°, I 16, (1 0 4); d = 1.709 Å, 2θ = 53.64°, I 13, (1 0 13)

Structure:
```
data_Co12Re
_chemical_formula_sum 'Co36 Re3'
_symmetry_space_group_name_H-M 'R -3 m'
_symmetry_Int_Tables_number 166
_symmetry_space_group_name_Hall '-R 3 2"'
_cell_length_a 4.5640
_cell_length_b 4.5640
_cell_length_c 24.6328
_cell_angle_alpha 90.00
_cell_angle_beta 90.00
_cell_angle_gamma 120.00
loop_
_atom_site_label
_atom_site_type_symbol
_atom_site_fract_x
_atom_site_fract_y
_atom_site_fract_z
Co1 Co 0.0000 0.0000 0.0457
Co2 Co 0.0000 0.0000 0.1503
Co3 Co 0.0000 0.0000 0.3364
Co4 Co 0.0064 0.5032 0.9141
Re1 Re 0.0000 0.0000 0.5000
```